For KPmVO4, a DFT-relaxed cell (GGA+U, Alexandria) gives the computed X-ray diffraction stick pattern in this record (Cu Kα, 1.54184 Å).

Structure:
Unit cell a=6.072 b=5.996 c=7.391 alpha=90.00 beta=106.61 gamma=90.00
Atoms (fractional coordinates):
K  0.209  0.250  0.432
K  0.791  0.750  0.568
Pm  0.314  0.250  0.954
Pm  0.686  0.750  0.046
V  0.219  0.750  0.160
V  0.781  0.250  0.840
O  0.036  0.750  0.929
O  0.037  0.750  0.312
O  0.444  0.525  0.179
O  0.444  0.975  0.179
O  0.556  0.025  0.821
O  0.556  0.475  0.821
O  0.963  0.250  0.688
O  0.964  0.250  0.071

Largest 8 diffraction maxima, most intense first, 10 to 80 degrees two-theta:
7.083 Å, I = 100
4.176 Å, I = 33
2.998 Å, I = 31
2.424 Å, I = 26
2.463 Å, I = 26
2.691 Å, I = 24
4.576 Å, I = 21
3.049 Å, I = 21